Calculated powder X-ray diffraction pattern
Compound: SiPb4Br4O4
Radiation: λ = 1.5418 Å (Cu Kα)
Structure: a structure optimized by DFT (GGA-PBE)

Largest 12 diffraction maxima, by angle, 2θ from 10° to 90°:
d/Å	Rel. int.	hkl
4.429	100	2 1 0
4.158	43	0 1 2
4.131	56	0 4 0
3.807	74	0 2 2
3.235	84	2 3 1
2.913	49	1 5 1
2.873	91	3 1 -1
2.851	50	1 4 -2
2.812	95	1 4 2
2.720	72	1 1 -3
2.683	42	2 5 0
2.010	61	1 2 4

Cell and atoms:
a = 9.200 Å, b = 16.525 Å, c = 8.584 Å
α = 90.00°, β = 91.94°, γ = 90.00°
Sites, in units of the cell vectors:
Si 0.128 0.150 0.141
Si 0.128 0.350 0.641
Si 0.872 0.650 0.359
Si 0.872 0.850 0.859
Pb 0.063 0.703 0.014
Pb 0.063 0.797 0.514
Pb 0.151 0.534 0.357
Pb 0.151 0.966 0.857
Pb 0.331 0.017 0.300
Pb 0.331 0.483 0.800
Pb 0.376 0.245 0.920
Pb 0.376 0.255 0.420
Pb 0.624 0.745 0.580
Pb 0.624 0.755 0.080
Pb 0.669 0.517 0.200
Pb 0.669 0.983 0.700
Pb 0.849 0.034 0.143
Pb 0.849 0.466 0.643
Pb 0.937 0.203 0.486
Pb 0.937 0.297 0.986
Br 0.000 0.000 0.500
Br 0.000 0.500 0.000
Br 0.229 0.653 0.631
Br 0.229 0.847 0.131
Br 0.314 0.123 0.663
Br 0.314 0.377 0.163
Br 0.375 0.609 0.111
Br 0.375 0.891 0.611
Br 0.500 0.000 0.000
Br 0.500 0.500 0.500
Br 0.625 0.109 0.389
Br 0.625 0.391 0.889
Br 0.686 0.623 0.837
Br 0.686 0.877 0.337
Br 0.771 0.153 0.869
Br 0.771 0.347 0.369
O 0.026 0.672 0.275
O 0.026 0.828 0.775
O 0.119 0.051 0.098
O 0.119 0.449 0.598
O 0.142 0.210 0.989
O 0.142 0.290 0.489
O 0.276 0.157 0.256
O 0.276 0.343 0.756
O 0.724 0.657 0.244
O 0.724 0.843 0.744
O 0.858 0.710 0.511
O 0.858 0.790 0.011
O 0.881 0.551 0.402
O 0.881 0.949 0.902
O 0.974 0.172 0.225
O 0.974 0.328 0.725